Starting from a DFT-relaxed cell (GGA-PBE, Alexandria), the X-ray diffraction stick pattern of TlAuSe4 was computed for Cu Kα (weighted mean of Kα1 and Kα2).
Kinematic intensities with the Lorentz-polarization factor, no thermal factor.

Structural model:
a b c (Å): 5.1346 18.6806 7.5005
angles (deg): 90.00 90.00 90.00
Atoms (fractional coordinates):
Tl: 0.0000 0.1667 0.2500
Tl: 0.0000 0.8333 0.7500
Tl: 0.5000 0.3333 0.7500
Tl: 0.5000 0.6667 0.2500
Au: 0.0000 0.4309 0.2500
Au: 0.0000 0.5691 0.7500
Au: 0.5000 0.0691 0.7500
Au: 0.5000 0.9309 0.2500
Se: 0.2000 0.1807 0.6745
Se: 0.2000 0.8193 0.1745
Se: 0.2093 0.0221 0.0367
Se: 0.2093 0.9779 0.5367
Se: 0.2907 0.4779 0.5367
Se: 0.2907 0.5221 0.0367
Se: 0.3000 0.3193 0.1745
Se: 0.3000 0.6807 0.6745
Se: 0.7000 0.3193 0.3255
Se: 0.7000 0.6807 0.8255
Se: 0.7093 0.4779 0.9633
Se: 0.7093 0.5221 0.4633
Se: 0.7907 0.0221 0.4633
Se: 0.7907 0.9779 0.9633
Se: 0.8000 0.1807 0.8255
Se: 0.8000 0.8193 0.3255

Top 6 peaks for 2θ = 10–90°, in order of rising 2θ:
21.51°, I 933
22.44°, I 1000
25.43°, I 567
29.55°, I 542
32.89°, I 681
41.92°, I 893

---

Starting from a DFT-relaxed cell (GGA-PBE, Alexandria), the X-ray diffraction stick pattern of Tl2AuSe was computed for Cu Kα (weighted mean of Kα1 and Kα2).
Kinematic intensities with the Lorentz-polarization factor, no thermal factor.

Structural model:
a b c (Å): 7.4764 7.4764 7.4764
angles (deg): 90.00 90.00 90.00
Atoms (fractional coordinates):
Tl: 0.2500 0.2500 0.2500
Tl: 0.2500 0.2500 0.7500
Tl: 0.2500 0.7500 0.2500
Tl: 0.2500 0.7500 0.7500
Tl: 0.7500 0.2500 0.2500
Tl: 0.7500 0.2500 0.7500
Tl: 0.7500 0.7500 0.2500
Tl: 0.7500 0.7500 0.7500
Au: 0.0000 0.0000 0.0000
Au: 0.0000 0.5000 0.5000
Au: 0.5000 0.0000 0.5000
Au: 0.5000 0.5000 0.0000
Se: 0.0000 0.0000 0.5000
Se: 0.0000 0.5000 0.0000
Se: 0.5000 0.0000 0.0000
Se: 0.5000 0.5000 0.5000

Top 6 peaks for 2θ = 10–90°, in order of rising 2θ:
20.58°, I 66
33.91°, I 1000
48.72°, I 183
60.68°, I 382
71.37°, I 119
81.41°, I 169

---

Starting from a DFT-relaxed cell (GGA-PBE, Alexandria), the X-ray diffraction stick pattern of Tl10Au4Se was computed for Cu Kα (weighted mean of Kα1 and Kα2).
Kinematic intensities with the Lorentz-polarization factor, no thermal factor.

Structural model:
a b c (Å): 20.8137 20.8137 20.8137
angles (deg): 13.85 13.85 13.85
Atoms (fractional coordinates):
Tl: 0.0481 0.0481 0.0481
Tl: 0.1463 0.1463 0.1463
Tl: 0.2523 0.2523 0.2523
Tl: 0.3497 0.3497 0.3497
Tl: 0.4454 0.4454 0.4454
Tl: 0.5546 0.5546 0.5546
Tl: 0.6503 0.6503 0.6503
Tl: 0.7477 0.7477 0.7477
Tl: 0.8537 0.8537 0.8537
Tl: 0.9519 0.9519 0.9519
Au: 0.0964 0.0964 0.0964
Au: 0.3005 0.3005 0.3005
Au: 0.6995 0.6995 0.6995
Au: 0.9036 0.9036 0.9036
Se: 0.5000 0.5000 0.5000

Top 6 peaks for 2θ = 10–90°, in order of rising 2θ:
21.67°, I 321
25.04°, I 364
35.64°, I 890
35.78°, I 1000
51.39°, I 319
64.23°, I 516

---

Starting from a DFT-relaxed cell (GGA-PBE, Alexandria), the X-ray diffraction stick pattern of ZrTl2AuSe4 was computed for Cu Kα (weighted mean of Kα1 and Kα2).
Kinematic intensities with the Lorentz-polarization factor, no thermal factor.

Structural model:
a b c (Å): 7.6362 3.8888 8.1586
angles (deg): 90.00 112.45 90.00
Atoms (fractional coordinates):
Zr: 0.0000 0.0000 0.0000
Tl: 0.0000 0.5000 0.5000
Tl: 0.5000 0.0000 0.5000
Au: 0.5000 0.5000 0.0000
Se: 0.1952 0.5000 0.2229
Se: 0.2708 0.0000 0.8386
Se: 0.7292 0.0000 0.1614
Se: 0.8048 0.5000 0.7771

Top 6 peaks for 2θ = 10–90°, in order of rising 2θ:
23.60°, I 230
26.66°, I 232
27.23°, I 671
30.73°, I 1000
40.49°, I 381
42.53°, I 412